Theoretical X-ray diffraction stick pattern
Compound: Mg6TiCuO8
Radiation: Cu Ka
Structure: a structure optimized by DFT (GGA-PBE)
Lines closer than 0.1° are merged.

Cell and atoms:
Cell: 4.2647 4.2647 8.8221 Å, 90.00 90.00 90.00°
Sites, in units of the cell vectors:
Mg1 0.0000 0.0000 0.0000
Mg2 0.0000 0.0000 0.5000
Mg3 0.0000 0.5000 0.2390
Mg4 0.0000 0.5000 0.7610
Mg5 0.5000 0.0000 0.2390
Mg6 0.5000 0.0000 0.7610
Ti1 0.5000 0.5000 0.5000
Cu1 0.5000 0.5000 0.0000
O1 0.0000 0.0000 0.2513
O2 0.0000 0.0000 0.7487
O3 0.0000 0.5000 0.0000
O4 0.0000 0.5000 0.5000
O5 0.5000 0.0000 0.0000
O6 0.5000 0.0000 0.5000
O7 0.5000 0.5000 0.2708
O8 0.5000 0.5000 0.7292

Top 10 peaks for 2θ = 10–90°, sorted by position:
4.411 Å, I 10.3, (0 0 2); 4.265 Å, I 17.8, (1 0 0); 3.066 Å, I 16.1, (1 0 2); 2.489 Å, I 39.1, (1 1 2); 2.206 Å, I 53.7, (0 0 4); 2.132 Å, I 100.0, (2 0 0); 1.533 Å, I 57.9, (2 0 4); 1.508 Å, I 28.3, (2 2 0); 1.290 Å, I 12.7, (3 1 2); 1.245 Å, I 25.8, (2 2 4)

---

Theoretical X-ray diffraction stick pattern
Compound: MgTi3CuO8
Radiation: Cu Ka
Structure: a structure optimized by DFT (GGA-PBE)
Lines closer than 0.1° are merged.

Cell and atoms:
Cell: 3.7877 3.9094 10.0469 Å, 90.00 90.00 90.00°
Sites, in units of the cell vectors:
Mg1 0.0000 0.0000 0.0000
Ti1 0.0000 0.0000 0.5425
Ti2 0.0000 0.5000 0.7673
Ti3 0.5000 0.0000 0.3042
Cu1 0.5000 0.5000 0.0737
O1 0.0000 0.0000 0.3399
O2 0.0000 0.0000 0.7412
O3 0.0000 0.5000 0.5714
O4 0.0000 0.5000 0.9770
O5 0.5000 0.0000 0.0892
O6 0.5000 0.0000 0.4997
O7 0.5000 0.5000 0.2708
O8 0.5000 0.5000 0.7955

Top 10 peaks for 2θ = 10–90°, sorted by position:
3.643 Å, I 67.3, (0 1 1); 3.544 Å, I 100.0, (1 0 1); 2.512 Å, I 46.8, (0 0 4); 2.392 Å, I 28.4, (1 1 2); 1.955 Å, I 37.7, (0 2 0); 1.894 Å, I 33.6, (2 0 0); 1.775 Å, I 28.7, (1 0 5); 1.712 Å, I 20.7, (1 2 1); 1.360 Å, I 18.7, (2 2 0); 1.314 Å, I 18.0, (1 2 5)

---

Theoretical X-ray diffraction stick pattern
Compound: Mg6TiCuO8
Radiation: Cu Ka
Structure: a structure optimized by DFT (GGA-PBE)
Lines closer than 0.1° are merged.

Cell and atoms:
Cell: 4.2426 4.2426 8.8075 Å, 90.00 90.00 90.00°
Sites, in units of the cell vectors:
Mg1 0.0000 0.0000 0.0000
Mg2 0.0000 0.5000 0.2472
Mg3 0.0000 0.5000 0.7528
Mg4 0.5000 0.0000 0.2472
Mg5 0.5000 0.0000 0.7528
Mg6 0.5000 0.5000 0.0000
Ti1 0.0000 0.0000 0.5000
Cu1 0.5000 0.5000 0.5000
O1 0.0000 0.0000 0.2541
O2 0.0000 0.0000 0.7459
O3 0.0000 0.5000 0.0000
O4 0.0000 0.5000 0.5000
O5 0.5000 0.0000 0.0000
O6 0.5000 0.0000 0.5000
O7 0.5000 0.5000 0.2337
O8 0.5000 0.5000 0.7663

Top 10 peaks for 2θ = 10–90°, sorted by position:
8.808 Å, I 38.5, (0 0 1); 4.404 Å, I 10.1, (0 0 2); 2.840 Å, I 12.5, (1 1 1); 2.479 Å, I 39.7, (1 1 2); 2.202 Å, I 55.8, (0 0 4); 2.121 Å, I 100.0, (2 0 0); 1.528 Å, I 59.7, (2 0 4); 1.500 Å, I 28.2, (2 2 0); 1.283 Å, I 12.8, (3 1 2); 1.240 Å, I 26.5, (2 2 4)